[1]
Simulated powder diffraction line list
Compound: Li7BrN2
Radiation: Cu Kα X-rays
Structure: a DFT-relaxed cell (GGA-PBE, Alexandria)
Kinematic intensities with the Lorentz-polarization factor, no thermal factor.

Structure:
a = 3.6973 Å, b = 3.6973 Å, c = 32.5423 Å
α = 90.00°, β = 90.00°, γ = 120.00°
Space group R-3m (No. 166, hexagonal axes)
One atom of each set of equivalent atoms:
1 Li 0.0000 0.0000 0.0000
2 Li 0.0000 0.0000 0.1191
3 Li 0.0000 0.0000 0.2793
4 Li 0.0000 0.0000 0.3976
5 Br 0.0000 0.0000 0.5000
6 N 0.0000 0.0000 0.0597

Largest 6 diffraction maxima, by angle, 2θ from 10° to 90°:
| 2theta | intensity |
| --- | --- |
| 24.62 | 62 |
| 28.41 | 100 |
| 29.99 | 50 |
| 31.13 | 63 |
| 34.00 | 41 |
| 49.29 | 40 |

[2]
Simulated powder diffraction line list
Compound: Li4Br5N2
Radiation: Cu Kα X-rays
Structure: a DFT-relaxed cell (GGA-PBE, Alexandria)
Kinematic intensities with the Lorentz-polarization factor, no thermal factor.

Structure:
a = 3.496 Å, b = 9.017 Å, c = 10.543 Å
α = 97.39°, β = 99.45°, γ = 100.92°
Space group P-1 (No. 2)
One atom of each set of equivalent atoms:
1 Li 0.085 0.485 0.185
2 Li 0.372 0.680 0.568
3 Br 0.017 0.786 0.756
4 Br 0.262 0.393 0.628
5 Br 0.500 0.500 0.000
6 N 0.474 0.941 0.511

Largest 6 diffraction maxima, by angle, 2θ from 10° to 90°:
| 2theta | intensity |
| --- | --- |
| 10.13 | 100 |
| 26.38 | 73 |
| 28.96 | 50 |
| 29.70 | 51 |
| 29.81 | 50 |
| 30.50 | 49 |

[3]
Simulated powder diffraction line list
Compound: Na2LiBr
Radiation: Cu Kα X-rays
Structure: a DFT-relaxed cell (GGA-PBE, Alexandria)
Kinematic intensities with the Lorentz-polarization factor, no thermal factor.

Structure:
a = 3.865 Å, b = 3.865 Å, c = 7.205 Å
α = 90.00°, β = 90.00°, γ = 90.00°
Space group P4/mmm (No. 123)
One atom of each set of equivalent atoms:
1 Na 0.000 0.000 0.239
2 Li 0.500 0.500 0.500
3 Br 0.500 0.500 0.000

Largest 6 diffraction maxima, by angle, 2θ from 10° to 90°:
| 2theta | intensity |
| --- | --- |
| 12.29 | 100 |
| 26.16 | 58 |
| 32.77 | 55 |
| 34.02 | 98 |
| 35.12 | 32 |
| 59.30 | 37 |

[4]
Simulated powder diffraction line list
Compound: Na3Li2Br6
Radiation: Cu Kα X-rays
Structure: a DFT-relaxed cell (GGA-PBE, Alexandria)
Kinematic intensities with the Lorentz-polarization factor, no thermal factor.

Structure:
a = 4.1768 Å, b = 4.1768 Å, c = 56.8043 Å
α = 90.00°, β = 90.00°, γ = 120.00°
Space group R-3m (No. 166, hexagonal axes)
One atom of each set of equivalent atoms:
1 Na 0.0000 0.0000 0.0000
2 Na 0.0000 0.0000 0.2710
3 Li 0.0000 0.0000 0.4565
4 Br 0.0000 0.0000 0.0932
5 Br 0.0000 0.0000 0.1902
6 Br 0.0000 0.0000 0.3644

Largest 6 diffraction maxima, by angle, 2θ from 10° to 90°:
| 2theta | intensity |
| --- | --- |
| 25.41 | 19 |
| 26.99 | 31 |
| 30.16 | 100 |
| 43.04 | 27 |
| 43.33 | 40 |
| 53.70 | 19 |

[5]
Simulated powder diffraction line list
Compound: Na2LiPbBr6
Radiation: Cu Kα X-rays
Structure: a DFT-relaxed cell (GGA-PBE, Alexandria)
Kinematic intensities with the Lorentz-polarization factor, no thermal factor.

Structure:
a = 14.854 Å, b = 15.258 Å, c = 6.536 Å
α = 90.00°, β = 92.67°, γ = 90.00°
Space group C2/c (No. 15)
One atom of each set of equivalent atoms:
1 Na 0.234 0.116 0.405
2 Li 0.000 0.311 0.750
3 Pb 0.000 0.410 0.250
4 Br 0.108 0.270 0.466
5 Br 0.119 0.427 0.899
6 Br 0.127 0.002 0.651

Largest 6 diffraction maxima, by angle, 2θ from 10° to 90°:
| 2theta | intensity |
| --- | --- |
| 11.60 | 54 |
| 11.93 | 54 |
| 21.90 | 53 |
| 29.06 | 100 |
| 29.92 | 72 |
| 32.68 | 77 |

[6]
Simulated powder diffraction line list
Compound: NaLi2PuBr6
Radiation: Cu Kα X-rays
Structure: a DFT-relaxed cell (GGA-PBE, Alexandria)
Kinematic intensities with the Lorentz-polarization factor, no thermal factor.

Structure:
a = 7.1317 Å, b = 7.1317 Å, c = 19.7802 Å
α = 90.00°, β = 90.00°, γ = 120.00°
Space group R3 (No. 146, hexagonal axes)
One atom of each set of equivalent atoms:
1 Na 0.0000 0.0000 0.0000
2 Li 0.0000 0.0000 0.2998
3 Li 0.0000 0.0000 0.8038
4 Pu 0.0000 0.0000 0.4914
5 Br 0.0088 0.3566 0.5630
6 Br 0.0094 0.6303 0.0630

Largest 6 diffraction maxima, by angle, 2θ from 10° to 90°:
| 2theta | intensity |
| --- | --- |
| 15.03 | 52 |
| 16.92 | 45 |
| 23.04 | 26 |
| 28.46 | 100 |
| 37.14 | 56 |
| 43.98 | 35 |

[7]
Simulated powder diffraction line list
Compound: NaLiPu2Br8
Radiation: Cu Kα X-rays
Structure: a DFT-relaxed cell (GGA-PBE, Alexandria)
Kinematic intensities with the Lorentz-polarization factor, no thermal factor.

Structure:
a = 6.798 Å, b = 8.637 Å, c = 7.018 Å
α = 90.00°, β = 95.49°, γ = 90.00°
Space group P2/m (No. 10)
One atom of each set of equivalent atoms:
1 Na 0.000 0.000 0.000
2 Li 0.000 0.500 0.000
3 Pu 0.500 0.254 0.500
4 Br 0.219 0.266 0.173
5 Br 0.282 0.500 0.664
6 Br 0.286 0.000 0.660

Largest 6 diffraction maxima, by angle, 2θ from 10° to 90°:
| 2theta | intensity |
| --- | --- |
| 12.67 | 60 |
| 13.08 | 53 |
| 17.35 | 49 |
| 27.03 | 100 |
| 29.89 | 40 |
| 35.14 | 50 |

[8]
Simulated powder diffraction line list
Compound: NaSrLiBr4
Radiation: Cu Kα X-rays
Structure: a DFT-relaxed cell (GGA-PBE, Alexandria)
Kinematic intensities with the Lorentz-polarization factor, no thermal factor.

Structure:
a = 8.382 Å, b = 8.855 Å, c = 12.134 Å
α = 90.00°, β = 90.00°, γ = 90.00°
Space group Imma (No. 74)
One atom of each set of equivalent atoms:
1 Na 0.250 0.250 0.250
2 Sr 0.000 0.000 0.000
3 Li 0.000 0.250 0.640
4 Br 0.000 0.004 0.251
5 Br 0.247 0.250 0.499

Largest 6 diffraction maxima, by angle, 2θ from 10° to 90°:
| 2theta | intensity |
| --- | --- |
| 12.84 | 24 |
| 24.90 | 37 |
| 25.84 | 35 |
| 29.34 | 100 |
| 29.45 | 50 |
| 42.05 | 77 |

[9]
Simulated powder diffraction line list
Compound: Na2LiUBr6
Radiation: Cu Kα X-rays
Structure: a DFT-relaxed cell (GGA-PBE, Alexandria)
Kinematic intensities with the Lorentz-polarization factor, no thermal factor.

Structure:
a = 7.193 Å, b = 7.644 Å, c = 12.861 Å
α = 90.00°, β = 121.87°, γ = 90.00°
Space group P2_1/c (No. 14)
One atom of each set of equivalent atoms:
1 Na 0.200 0.087 0.238
2 Li 0.000 0.000 0.500
3 U 0.500 0.000 0.000
4 Br 0.106 0.197 0.931
5 Br 0.233 0.684 0.924
6 Br 0.395 0.056 0.750

Largest 6 diffraction maxima, by angle, 2θ from 10° to 90°:
| 2theta | intensity |
| --- | --- |
| 14.14 | 100 |
| 15.00 | 45 |
| 16.93 | 85 |
| 27.53 | 88 |
| 27.87 | 95 |
| 28.37 | 90 |

[10]
Simulated powder diffraction line list
Compound: NaLiZn2Br6
Radiation: Cu Kα X-rays
Structure: a DFT-relaxed cell (GGA-PBE, Alexandria)
Kinematic intensities with the Lorentz-polarization factor, no thermal factor.

Structure:
a = 13.709 Å, b = 12.920 Å, c = 7.301 Å
α = 90.00°, β = 108.02°, γ = 90.00°
Space group C2/c (No. 15)
One atom of each set of equivalent atoms:
1 Na 0.000 0.109 0.250
2 Li 0.000 0.225 0.750
3 Zn 0.196 0.418 0.235
4 Br 0.117 0.082 0.657
5 Br 0.123 0.256 0.091
6 Br 0.135 0.433 0.522

Largest 6 diffraction maxima, by angle, 2θ from 10° to 90°:
| 2theta | intensity |
| --- | --- |
| 18.76 | 72 |
| 25.06 | 73 |
| 26.35 | 100 |
| 27.37 | 61 |
| 29.23 | 65 |
| 45.91 | 64 |